1.
Diffraction record for Ca3SnS5. The X-ray powder pattern is calculated, not measured: it uses a cell relaxed with GGA-PBE and Cu Kα (λ = 1.5418 Å).
Intensities are scaled so that the largest is 100.

Cell and atoms:
Lattice parameters (Å, degrees): 8.8387 8.8387 32.9919 90.00 90.00 120.00
Space group R3m (No. 160, hexagonal axes)
Asymmetric unit:
Ca  0.0083  0.5042  0.0000 (multiplicity 9)
Ca  0.0352  0.5176  0.4601 (multiplicity 9)
Ca  0.1762  0.3525  0.5763 (multiplicity 9)
Sn  0.0000  0.0000  0.0198 (multiplicity 3)
Sn  0.0000  0.0000  0.2414 (multiplicity 3)
Sn  0.0000  0.0000  0.4577 (multiplicity 3)
S  0.0000  0.0000  0.0913 (multiplicity 3)
S  0.0000  0.0000  0.1711 (multiplicity 3)
S  0.0000  0.0000  0.3818 (multiplicity 3)
S  0.0000  0.0000  0.6040 (multiplicity 3)
S  0.0000  0.0000  0.7438 (multiplicity 3)
S  0.0000  0.0000  0.8662 (multiplicity 3)
S  0.0457  0.5229  0.1543 (multiplicity 9)
S  0.1833  0.3665  0.6667 (multiplicity 9)
S  0.1940  0.3880  0.9417 (multiplicity 9)

Principal peaks in the range 10 to 90 degrees two-theta, in order of rising 2θ:
- 17.75°, d = 4.998 Å, I = 44, (0 1 5)
- 20.09°, d = 4.419 Å, I = 64, (1 1 0)
- 23.40°, d = 3.802 Å, I = 62, (0 2 1)
- 24.28°, d = 3.666 Å, I = 37, (0 0 9)
- 26.93°, d = 3.311 Å, I = 51, (2 0 5)
- 30.08°, d = 2.971 Å, I = 34, (0 2 7)
- 31.90°, d = 2.805 Å, I = 41, (2 0 8)
- 40.84°, d = 2.210 Å, I = 100, (2 2 0)
- 42.75°, d = 2.115 Å, I = 39, (0 2 13)
- 48.08°, d = 1.892 Å, I = 32, (2 2 9)

***

2.
Diffraction record for Ca5Tb3S8. The X-ray powder pattern is calculated, not measured: it uses a cell relaxed with GGA-PBE and Cu Kα (λ = 1.5418 Å).
Intensities are scaled so that the largest is 100.

Cell and atoms:
Lattice parameters (Å, degrees): 7.9491 7.9491 19.6161 90.00 90.00 120.00
Space group R-3m (No. 166, hexagonal axes)
Asymmetric unit:
Ca  0.0000  0.0000  0.0000 (multiplicity 3)
Ca  0.0000  0.0000  0.5000 (multiplicity 3)
Ca  0.0000  0.5000  0.0000 (multiplicity 9)
Tb  0.0000  0.5000  0.5000 (multiplicity 9)
S  0.0000  0.0000  0.2487 (multiplicity 6)
S  0.0027  0.5013  0.7513 (multiplicity 18)

Principal peaks in the range 10 to 90 degrees two-theta, in order of rising 2θ:
- 13.56°, d = 6.528 Å, I = 43, (0 0 3)
- 26.29°, d = 3.390 Å, I = 21, (0 2 1)
- 27.46°, d = 3.248 Å, I = 27, (2 0 2)
- 31.76°, d = 2.817 Å, I = 100, (0 2 4)
- 45.41°, d = 1.997 Å, I = 35, (2 0 8)
- 45.65°, d = 1.987 Å, I = 35, (2 2 0)
- 56.68°, d = 1.624 Å, I = 18, (4 0 4)
- 75.27°, d = 1.262 Å, I = 15, (2 2 12)
- 75.62°, d = 1.257 Å, I = 15, (2 4 4)
- 84.26°, d = 1.149 Å, I = 11, (4 2 8)